Entry 1:
# Dy6CdIn6
Calculated X-ray powder pattern, Cu Kα. Input: a structure optimized by DFT (GGA-PBE).

Largest 12 diffraction maxima, by angle, 2θ from 10° to 80°:
Position (°2θ), Rel. int.
28.2, 57
30.2, 24
32.7, 37
33.0, 65
34.0, 34
37.0, 100
37.8, 17
53.0, 17
58.3, 33
60.2, 30
69.2, 25
74.9, 16

Structural model:
```
Dy6CdIn6
1.0
6.3291 0.0000 0.0000
-3.1645 5.4812 0.0000
0.0000 0.0000 10.5586
Dy Cd In
6 1 6
direct
0.0000 0.0000 0.1832
0.0000 0.0000 0.8168
0.3333 0.6667 0.0000
0.3333 0.6667 0.5000
0.6667 0.3333 0.0000
0.6667 0.3333 0.5000
0.0000 0.0000 0.5000
0.0000 0.5000 0.2501
0.0000 0.5000 0.7499
0.5000 0.0000 0.2501
0.5000 0.0000 0.7499
0.5000 0.5000 0.2501
0.5000 0.5000 0.7499
```

***

Entry 2:
# Tl4AsAu
Calculated X-ray powder pattern, Cu Kα. Input: a structure optimized by DFT (GGA-PBE).

Largest 12 diffraction maxima, by angle, 2θ from 10° to 80°:
Position (°2θ), Rel. int.
25.3, 25
25.5, 29
28.2, 63
28.4, 60
28.8, 100
38.2, 46
38.5, 43
42.2, 39
43.2, 50
46.5, 21
51.7, 21
59.6, 21

Structural model:
```
Tl4AsAu
1.0
4.2856 -7.2074 0.0000
4.2856 7.2074 0.0000
-4.2186 0.0000 6.0902
Tl As Au
8 2 2
direct
0.0474 0.9526 0.5000
0.0557 0.4579 0.5235
0.4073 0.5463 0.9476
0.4579 0.0557 0.0235
0.5463 0.4073 0.4476
0.6055 0.9654 0.5742
0.9526 0.0474 0.0000
0.9654 0.6055 0.0742
0.2542 0.5049 0.2603
0.5049 0.2542 0.7603
0.0014 0.7510 0.7591
0.7510 0.0014 0.2591
```

***

Entry 3:
# La2U2Se9
Calculated X-ray powder pattern, Cu Kα. Input: a structure optimized by DFT (GGA-PBE).

Largest 12 diffraction maxima, by angle, 2θ from 10° to 80°:
Position (°2θ), Rel. int.
22.8, 55
23.2, 40
23.5, 31
30.3, 31
32.1, 29
32.8, 43
34.1, 36
40.1, 100
40.6, 67
41.4, 28
63.0, 21
63.6, 27

Structural model:
```
La2U2Se9
1.0
10.9193 0.0000 0.0000
0.0000 5.5828 0.0000
0.0000 0.0000 10.5174
La U Se
4 4 18
direct
0.2500 0.0000 0.0237
0.2500 0.0000 0.5699
0.7500 0.0000 0.4301
0.7500 0.0000 0.9763
0.0076 0.5000 0.2495
0.4924 0.5000 0.2495
0.5076 0.5000 0.7505
0.9924 0.5000 0.7505
0.0000 0.2517 0.5000
0.0000 0.7483 0.5000
0.0499 0.0000 0.8090
0.1244 0.5000 0.9999
0.2500 0.2520 0.2862
0.2500 0.5000 0.6866
0.2500 0.7480 0.2862
0.3756 0.5000 0.9999
0.4501 0.0000 0.8090
0.5000 0.2517 0.5000
0.5000 0.7483 0.5000
0.5499 0.0000 0.1910
0.6244 0.5000 0.0001
0.7500 0.2520 0.7138
0.7500 0.5000 0.3134
0.7500 0.7480 0.7138
0.8756 0.5000 0.0001
0.9501 0.0000 0.1910
```

***

Entry 4:
# Pm3Mg7Hg2
Calculated X-ray powder pattern, Cu Kα. Input: a structure optimized by DFT (GGA-PBE).

Largest 12 diffraction maxima, by angle, 2θ from 10° to 80°:
Position (°2θ), Rel. int.
18.4, 44
20.9, 19
29.5, 77
30.9, 13
35.0, 100
40.9, 19
48.2, 14
52.3, 16
55.9, 26
56.5, 17
61.2, 15
75.8, 11

Structural model:
```
Pm3Mg7Hg2
1.0
3.0295 1.7491 9.6521
-3.0295 1.7491 9.6521
0.0000 -3.4981 9.6521
Pm Mg Hg
3 7 2
direct
0.0000 0.0000 0.0000
0.1441 0.1441 0.1441
0.8559 0.8559 0.8559
0.0774 0.5824 0.5824
0.4176 0.4176 0.9226
0.4176 0.9226 0.4176
0.5000 0.5000 0.5000
0.5824 0.0774 0.5824
0.5824 0.5824 0.0774
0.9226 0.4176 0.4176
0.3342 0.3342 0.3342
0.6658 0.6658 0.6658
```

***

Entry 5:
# Ho6As3P2S
Calculated X-ray powder pattern, Cu Kα. Input: a structure optimized by DFT (GGA-PBE).

Largest 12 diffraction maxima, by angle, 2θ from 10° to 80°:
Position (°2θ), Rel. int.
25.9, 2
27.1, 47
31.4, 100
34.3, 2
45.0, 73
53.3, 23
55.9, 26
65.5, 12
72.3, 8
72.3, 2
74.5, 27
74.5, 5

Structural model:
```
Ho6As3P2S
1.0
8.7726 -2.0153 0.0000
8.7726 2.0153 0.0000
-1.8410 0.0000 7.8481
Ho As P S
6 3 2 1
direct
0.0019 0.0019 0.2518
0.3315 0.3315 0.4209
0.3329 0.3329 0.9113
0.6671 0.6671 0.0887
0.6685 0.6685 0.5791
0.9981 0.9981 0.7482
0.1654 0.1654 0.8340
0.5000 0.5000 0.5000
0.8346 0.8346 0.1660
0.1659 0.1659 0.3316
0.8341 0.8341 0.6684
0.5000 0.5000 0.0000
```

***

Entry 6:
# Cd11SnPb
Calculated X-ray powder pattern, Cu Kα. Input: a structure optimized by DFT (GGA-PBE).

Largest 12 diffraction maxima, by angle, 2θ from 10° to 80°:
Position (°2θ), Rel. int.
27.0, 37
30.0, 42
30.5, 40
32.3, 90
32.9, 67
34.8, 47
35.5, 38
35.6, 42
35.8, 41
36.3, 100
37.6, 50
37.8, 31

Structural model:
```
Cd11SnPb
1.0
3.2990 -6.9352 0.0000
3.2990 6.9352 0.0000
-3.0988 0.0000 7.0701
Cd Sn Pb
11 1 1
direct
0.0000 0.0000 0.0000
0.0000 0.5000 0.5000
0.0136 0.7936 0.2853
0.1367 0.4870 0.1524
0.2064 0.9864 0.7147
0.4870 0.1367 0.1524
0.5000 0.0000 0.5000
0.5130 0.8633 0.8476
0.7936 0.0136 0.2853
0.8633 0.5130 0.8476
0.9864 0.2064 0.7147
0.5000 0.5000 0.0000
0.5000 0.5000 0.5000
```